The following is a calculated powder XRD pattern of CsFeF4. It was derived from DFT lattice parameters and positions (PBE+U), using Cu Kα (λ = 1.5418 Å).
Neutral-atom scattering factors, no anomalous dispersion.

Atomic structure:
a b c (Å): 7.9315 7.9315 6.6423
angles (deg): 90.00 90.00 90.00
Positions (direct):
1 Cs 0.2500 0.2500 0.0488
2 Cs 0.2500 0.7500 0.0000
3 Cs 0.7500 0.2500 0.0000
4 Cs 0.7500 0.7500 0.9512
5 Fe 0.0000 0.0000 0.5000
6 Fe 0.0000 0.5000 0.5000
7 Fe 0.5000 0.0000 0.5000
8 Fe 0.5000 0.5000 0.5000
9 F 0.0026 0.7500 0.5468
10 F 0.0288 0.0288 0.7818
11 F 0.0288 0.4712 0.7818
12 F 0.2500 0.5026 0.4532
13 F 0.2500 0.9974 0.4532
14 F 0.4712 0.0288 0.7818
15 F 0.4712 0.4712 0.7818
16 F 0.4974 0.7500 0.5468
17 F 0.5026 0.2500 0.4532
18 F 0.5288 0.5288 0.2182
19 F 0.5288 0.9712 0.2182
20 F 0.7500 0.0026 0.5468
21 F 0.7500 0.4974 0.5468
22 F 0.9712 0.5288 0.2182
23 F 0.9712 0.9712 0.2182
24 F 0.9974 0.2500 0.4532

Most intense lines, 15 to 90 degrees two-theta, by angle:
(hkl)	2theta	I (rel.)
2 0 1	26.17	100
0 0 2	26.84	22
2 2 0	31.91	32
2 2 1	34.72	19
2 0 2	35.25	12
4 0 0	45.76	21
2 0 3	47.00	20
4 2 1	53.48	27
4 0 2	53.85	13
4 2 3	67.69	13